Entry 1:
# LaSb
Calculated powder XRD pattern, Cu Kα X-rays. Input: DFT lattice parameters and positions (GGA-PBE).
Intensities are scaled so that the largest is 100.

Cell and atoms:
```
LaSb
1.0
4.1705 0.0000 0.0000
0.0000 4.1705 0.0000
0.0000 0.0000 3.5037
La Sb
1 1
direct
0.0000 0.0000 0.0000
0.5000 0.5000 0.5000
```

Top 11 peaks for 2θ from 10° to 80°, low angle first:
2θ = 21.30°, I 0.6; 2θ = 30.31°, I 64.7; 2θ = 33.40°, I 100.0; 2θ = 43.39°, I 24.1; 2θ = 52.22°, I 7.0; 2θ = 55.84°, I 45.4; 2θ = 61.57°, I 16.8; 2θ = 63.05°, I 7.8; 2θ = 70.16°, I 11.4; 2θ = 71.54°, I 10.7; 2θ = 73.25°, I 10.0

***

Entry 2:
# La5Sb3
Calculated powder XRD pattern, Cu Kα X-rays. Input: DFT lattice parameters and positions (GGA-PBE).
Intensities are scaled so that the largest is 100.

Cell and atoms:
```
La5Sb3
1.0
8.3289 -4.8047 0.0000
8.3289 4.8047 0.0000
0.0000 0.0000 6.5562
La Sb
10 6
direct
0.1667 0.1667 0.0000
0.1667 0.1667 0.5000
0.2439 0.5001 0.2500
0.2441 0.7559 0.7500
0.5001 0.2439 0.7500
0.4999 0.7561 0.2500
0.7559 0.2441 0.2500
0.7561 0.4999 0.7500
0.8333 0.8333 0.0000
0.8333 0.8333 0.5000
0.1173 0.5000 0.7500
0.1173 0.8827 0.2500
0.5000 0.1173 0.2500
0.5000 0.8827 0.7500
0.8827 0.1173 0.7500
0.8827 0.5000 0.2500
```

Top 12 peaks for 2θ from 10° to 80°, low angle first:
2θ = 27.20°, I 19.3; 2θ = 28.36°, I 29.9; 2θ = 29.28°, I 16.1; 2θ = 31.54°, I 100.0; 2θ = 32.26°, I 74.1; 2θ = 33.08°, I 95.8; 2θ = 41.46°, I 14.5; 2θ = 46.87°, I 26.7; 2θ = 49.72°, I 17.9; 2θ = 50.87°, I 25.9; 2θ = 52.05°, I 14.0; 2θ = 66.22°, I 18.2

***

Entry 3:
# La2Sb
Calculated powder XRD pattern, Cu Kα X-rays. Input: DFT lattice parameters and positions (GGA-PBE).
Intensities are scaled so that the largest is 100.

Cell and atoms:
```
La2Sb
1.0
-2.3236 2.3236 9.1501
2.3236 -2.3236 9.1501
2.3236 2.3236 -9.1501
La Sb
4 2
direct
0.0000 0.5000 0.5000
0.1795 0.1795 0.0000
0.5000 0.0000 0.5000
0.8205 0.8205 0.0000
0.3629 0.3629 0.0000
0.6371 0.6371 0.0000
```

Top 12 peaks for 2θ from 10° to 80°, low angle first:
2θ = 28.87°, I 100.0; 2θ = 29.28°, I 40.0; 2θ = 31.10°, I 34.8; 2θ = 33.58°, I 90.0; 2θ = 38.75°, I 60.4; 2θ = 49.30°, I 37.5; 2θ = 50.50°, I 17.8; 2θ = 55.96°, I 20.6; 2θ = 64.19°, I 20.4; 2θ = 64.41°, I 16.7; 2θ = 66.87°, I 24.0; 2θ = 72.82°, I 15.6

***

Entry 4:
# LaSb
Calculated powder XRD pattern, Cu Kα X-rays. Input: DFT lattice parameters and positions (GGA-PBE).
Intensities are scaled so that the largest is 100.

Cell and atoms:
```
LaSb
1.0
0.0000 3.2795 3.2795
3.2795 0.0000 3.2795
3.2795 3.2795 0.0000
La Sb
1 1
direct
0.0000 0.0000 0.0000
0.5000 0.5000 0.5000
```

Top 7 peaks for 2θ from 10° to 80°, low angle first:
2θ = 23.49°, I 0.7; 2θ = 27.19°, I 100.0; 2θ = 38.83°, I 77.1; 2θ = 48.05°, I 27.8; 2θ = 56.09°, I 13.1; 2θ = 63.42°, I 35.9; 2θ = 70.31°, I 26.4